Record 1
The following is a simulated X-ray diffraction stick pattern of MgMn. It was derived from a structure optimized by DFT (GGA-PBE), using Cu Kα (weighted mean of Kα1 and Kα2).
Lines closer than 0.1° are merged.

Most intense lines, 2θ from 10° to 90°, by angle:
| 2θ/deg | Rel. int. | h k l |
| --- | --- | --- |
| 26.36 | 21 | 1 0 1 |
| 35.10 | 12 | 0 1 1 |
| 36.84 | 19 | 0 0 2 |
| 38.38 | 33 | 2 0 0 |
| 40.17 | 100 | 1 1 1 |
| 41.73 | 25 | 1 0 2 |
| 54.25 | 12 | 2 0 2 |
| 65.25 | 10 | 0 1 3 |
| 70.61 | 16 | 3 1 1 |
| 78.31 | 11 | 2 1 3 |

Structure:
```
MgMn
1.0
4.691 0.000 0.000
0.000 3.002 0.000
0.000 0.000 4.879
Mg Mn
2 2
Cartesian
1.173 0.000 0.969
3.518 0.000 3.911
1.173 1.501 3.342
3.518 1.501 1.537
```



Record 2
The following is a simulated X-ray diffraction stick pattern of Ba2Ti3AlO7. It was derived from a structure optimized by DFT (GGA-PBE), using Cu Kα (weighted mean of Kα1 and Kα2).
Lines closer than 0.1° are merged.

Most intense lines, 2θ from 10° to 90°, by angle:
| 2θ/deg | Rel. int. | h k l |
| --- | --- | --- |
| 27.52 | 37 | 1 0 2 |
| 32.03 | 100 | 1 1 0 |
| 32.43 | 79 | 0 1 3 |
| 32.66 | 93 | 1 0 3 |
| 39.16 | 30 | 0 0 5 |
| 39.93 | 49 | 1 1 3 |
| 45.59 | 38 | 0 2 0 |
| 46.28 | 35 | 2 0 0 |
| 57.20 | 36 | 1 2 3 |
| 57.64 | 30 | 2 1 3 |

Structure:
```
Ba2Ti3AlO7
1.0
3.923 0.000 0.000
0.000 3.980 0.000
0.000 0.000 11.501
Ba Ti Al O
2 3 1 7
Cartesian
0.000 0.000 2.083
0.000 0.000 9.417
1.962 1.990 0.000
1.962 1.990 4.314
1.962 1.990 7.186
0.000 0.000 5.750
0.000 1.990 4.356
0.000 1.990 7.145
1.962 0.000 0.000
1.962 0.000 4.376
1.962 0.000 7.125
1.962 1.990 1.976
1.962 1.990 9.524
```